Record 1
Computed powder XRD pattern of CsPdI6 for Cu Kα, from a crystal structure in Alexandria, relaxed with PBE.

Largest 8 diffraction maxima, most intense first, 10 to 80 degrees two-theta:
| (hkl) | 2θ (°) | I/Imax |
| --- | --- | --- |
| 1 2 2 | 31.19 | 1000 |
| 2 1 1 | 26.49 | 715 |
| 2 1 4 | 45.80 | 343 |
| 0 0 3 | 28.19 | 311 |
| 3 3 0 | 49.76 | 270 |
| 0 2 1 | 20.88 | 262 |
| 3 3 3 | 58.18 | 204 |
| 1 1 0 | 16.12 | 202 |

Crystal structure
Cell: 10.9937 10.9937 9.4931 Å, 90.00 90.00 120.00°
Space group R-3m (No. 166, hexagonal axes)
Symmetry-distinct sites (fractional):
Cs (0.0000, 0.0000, 0.0000) (multiplicity 3)
Pd (0.0000, 0.0000, 0.5000) (multiplicity 3)
I (0.0992, 0.5496, 0.3320) (multiplicity 18)


Record 2
Computed powder XRD pattern of Dy3TlS4 for Cu Kα, from a crystal structure in Alexandria, relaxed with PBE.

Largest 8 diffraction maxima, most intense first, 10 to 80 degrees two-theta:
| (hkl) | 2θ (°) | I/Imax |
| --- | --- | --- |
| 1 0 3 | 27.76 | 1000 |
| 1 0 6 | 32.47 | 909 |
| 1 0 5 | 30.63 | 728 |
| 1 1 0 | 45.90 | 665 |
| 1 1 8 | 53.23 | 550 |
| 1 0 11 | 44.44 | 538 |
| 0 0 8 | 25.53 | 446 |
| 1 0 2 | 26.81 | 266 |

Crystal structure
Cell: 3.9543 3.9543 27.9103 Å, 90.00 90.00 120.00°
Space group P6_3/mmc (No. 194)
Symmetry-distinct sites (fractional):
Dy (0.0000, 0.0000, 0.0000) (multiplicity 2)
Dy (0.3333, 0.6667, 0.1133) (multiplicity 4)
Tl (0.3333, 0.6667, 0.7500) (multiplicity 2)
S (0.0000, 0.0000, 0.1673) (multiplicity 4)
S (0.3333, 0.6667, 0.5568) (multiplicity 4)


Record 3
Computed powder XRD pattern of Ba3NdSn2O9 for Cu Kα, from a crystal structure in Alexandria, relaxed with PBE.

Largest 8 diffraction maxima, most intense first, 10 to 80 degrees two-theta:
| (hkl) | 2θ (°) | I/Imax |
| --- | --- | --- |
| 0 1 2 | 29.05 | 1000 |
| 1 1 0 | 29.26 | 983 |
| 2 0 2 | 41.70 | 597 |
| 1 2 2 | 51.75 | 408 |
| 3 0 0 | 51.88 | 204 |
| 1 0 4 | 51.36 | 204 |
| 2 2 0 | 60.67 | 190 |
| 0 2 4 | 60.20 | 186 |

Crystal structure
Cell: 6.1053 6.1053 7.5569 Å, 90.00 90.00 120.00°
Space group P-3m1 (No. 164)
Symmetry-distinct sites (fractional):
Ba (0.0000, 0.0000, 0.0000) (multiplicity 1)
Ba (0.3333, 0.6667, 0.6775) (multiplicity 2)
Nd (0.0000, 0.0000, 0.5000) (multiplicity 1)
Sn (0.3333, 0.6667, 0.1606) (multiplicity 2)
O (0.0000, 0.5000, 0.0000) (multiplicity 3)
O (0.1741, 0.3482, 0.3155) (multiplicity 6)


Record 4
Computed powder XRD pattern of CaB3Pt6 for Cu Kα, from a crystal structure in Alexandria, relaxed with PBE.

Largest 8 diffraction maxima, most intense first, 10 to 80 degrees two-theta:
| (hkl) | 2θ (°) | I/Imax |
| --- | --- | --- |
| 2 0 0 | 34.18 | 1000 |
| 0 2 -1 | 32.22 | 762 |
| 0 2 -2 | 37.05 | 611 |
| -1 1 1 | 32.02 | 359 |
| 1 0 2 | 46.34 | 307 |
| 0 2 0 | 38.08 | 303 |
| 2 -2 0 | 43.83 | 283 |
| 1 -2 0 | 37.12 | 275 |

Crystal structure
Cell: 5.5368 5.6325 5.6339 Å, 119.11 99.49 99.16°
Space group P1 (No. 1)
Symmetry-distinct sites (fractional):
Ca (0.0000, 0.0000, 0.0000) (multiplicity 1)
B (0.4751, 0.8230, 0.8223) (multiplicity 1)
B (0.8031, 0.2646, 0.6068) (multiplicity 1)
B (0.8034, 0.6067, 0.2642) (multiplicity 1)
Pt (0.0823, 0.0241, 0.5167) (multiplicity 1)
Pt (0.0827, 0.5166, 0.0246) (multiplicity 1)
Pt (0.1025, 0.5414, 0.5418) (multiplicity 1)
Pt (0.5573, 0.8615, 0.2274) (multiplicity 1)
Pt (0.5577, 0.2279, 0.8607) (multiplicity 1)
Pt (0.5752, 0.4844, 0.4834) (multiplicity 1)